The following is a theoretical X-ray diffraction stick pattern of Er2TlAg. It was derived from a DFT-relaxed cell (PBE, the Materials Project), using copper Kα.
Lines closer than 0.1° are merged.

Structure:
```
Er2TlAg
1.0
0.000 3.697 3.697
3.697 0.000 3.697
3.697 3.697 0.000
Er Tl Ag
2 1 1
direct
0.250 0.250 0.250
0.750 0.750 0.750
0.000 0.000 0.000
0.500 0.500 0.500
```

Top 6 peaks for 5° ≤ 2θ ≤ 70°, in order of rising 2θ:
- 20.81 deg, intensity 4
- 34.30 deg, intensity 100
- 40.46 deg, intensity 2
- 49.29 deg, intensity 18
- 54.05 deg, intensity 1
- 61.42 deg, intensity 37